# Ba2GeBi2
Computed PXRD pattern, copper Kα. Input: a DFT-relaxed cell (PBE, Alexandria).

Crystal structure
```
data_Ba2GeBi2
_space_group_name_H-M_alt 'P 1'
_space_group_IT_number 1
_cell_length_a 8.3535
_cell_length_b 8.3535
_cell_length_c 5.3013
_cell_angle_alpha 90.00
_cell_angle_beta 90.00
_cell_angle_gamma 90.00
loop_
_space_group_symop_operation_xyz
'x,y,z'
loop_
_atom_site_label
_atom_site_fract_x
_atom_site_fract_y
_atom_site_fract_z
_atom_site_occupancy
Ba1 0.1770 0.3230 0.0000 1
Ba2 0.3230 0.8230 0.0000 1
Ba3 0.6770 0.1770 0.0000 1
Ba4 0.8230 0.6770 0.0000 1
Ge1 0.0000 0.0000 0.5000 1
Ge2 0.5000 0.5000 0.5000 1
Bi1 0.1314 0.6314 0.5000 1
Bi2 0.3686 0.1314 0.5000 1
Bi3 0.6314 0.8686 0.5000 1
Bi4 0.8686 0.3686 0.5000 1
```

Principal peaks in the range 2θ from 15° to 90°, in order of rising 2θ:
2θ = 16.72°, intensity 9; 2θ = 27.18°, intensity 10; 2θ = 29.25°, intensity 100; 2θ = 33.82°, intensity 20; 2θ = 33.94°, intensity 24; 2θ = 48.67°, intensity 19; 2θ = 57.71°, intensity 15; 2θ = 62.37°, intensity 12

# CaLa6Ho5
Computed PXRD pattern, copper Kα. Input: a DFT-relaxed cell (PBE, Alexandria).

Crystal structure
```
data_CaLa6Ho5
_space_group_name_H-M_alt 'P 1'
_space_group_IT_number 1
_cell_length_a 8.1494
_cell_length_b 8.1494
_cell_length_c 6.3502
_cell_angle_alpha 97.53
_cell_angle_beta 97.53
_cell_angle_gamma 85.19
loop_
_space_group_symop_operation_xyz
'x,y,z'
loop_
_atom_site_label
_atom_site_fract_x
_atom_site_fract_y
_atom_site_fract_z
_atom_site_occupancy
Ca1 0.0000 0.0000 0.0000 1
La1 0.0818 0.4244 0.2514 1
La2 0.2521 0.2521 0.7416 1
La3 0.4244 0.0818 0.2514 1
La4 0.5756 0.9182 0.7486 1
La5 0.7479 0.7479 0.2584 1
La6 0.9182 0.5756 0.7486 1
Ho1 0.1717 0.8283 0.5000 1
Ho2 0.3374 0.6626 0.0000 1
Ho3 0.5000 0.5000 0.5000 1
Ho4 0.6626 0.3374 0.0000 1
Ho5 0.8283 0.1717 0.5000 1
```

Principal peaks in the range 2θ from 15° to 90°, in order of rising 2θ:
2θ = 29.86°, intensity 100; 2θ = 30.28°, intensity 32; 2θ = 34.73°, intensity 67; 2θ = 49.70°, intensity 16; 2θ = 50.22°, intensity 23; 2θ = 59.18°, intensity 14; 2θ = 59.31°, intensity 19; 2θ = 62.02°, intensity 12

# La7Ce2Nd2
Computed PXRD pattern, copper Kα. Input: a DFT-relaxed cell (PBE, Alexandria).

Crystal structure
```
data_La7Ce2Nd2
_space_group_name_H-M_alt 'P 1'
_space_group_IT_number 1
_cell_length_a 6.8820
_cell_length_b 6.8820
_cell_length_c 8.6060
_cell_angle_alpha 100.92
_cell_angle_beta 100.92
_cell_angle_gamma 82.19
loop_
_space_group_symop_operation_xyz
'x,y,z'
loop_
_atom_site_label
_atom_site_fract_x
_atom_site_fract_y
_atom_site_fract_z
_atom_site_occupancy
La1 0.0000 0.0000 0.0000 1
La2 0.0867 0.4964 0.8169 1
La3 0.4188 0.4188 0.1618 1
La4 0.4964 0.0867 0.8169 1
La5 0.5036 0.9133 0.1831 1
La6 0.5812 0.5812 0.8382 1
La7 0.9133 0.5036 0.1831 1
Ce1 0.1512 0.8488 0.5000 1
Ce2 0.8488 0.1512 0.5000 1
Nd1 0.3036 0.3036 0.4777 1
Nd2 0.6964 0.6964 0.5223 1
```

Principal peaks in the range 2θ from 15° to 90°, in order of rising 2θ:
2θ = 28.44°, intensity 38; 2θ = 30.31°, intensity 100; 2θ = 31.26°, intensity 51; 2θ = 31.39°, intensity 50; 2θ = 32.06°, intensity 59; 2θ = 32.24°, intensity 48; 2θ = 32.77°, intensity 37; 2θ = 53.63°, intensity 33

# Li2MgPd4
Computed PXRD pattern, copper Kα. Input: a DFT-relaxed cell (PBE, Alexandria).

Crystal structure
```
data_Li2MgPd4
_space_group_name_H-M_alt 'P 1'
_space_group_IT_number 1
_cell_length_a 5.2036
_cell_length_b 5.2036
_cell_length_c 5.2036
_cell_angle_alpha 108.49
_cell_angle_beta 108.49
_cell_angle_gamma 111.44
loop_
_space_group_symop_operation_xyz
'x,y,z'
loop_
_atom_site_label
_atom_site_fract_x
_atom_site_fract_y
_atom_site_fract_z
_atom_site_occupancy
Li1 0.0000 0.5000 0.5000 1
Li2 0.5000 0.0000 0.5000 1
Mg1 0.0000 0.0000 0.0000 1
Pd1 0.0000 0.0000 0.5000 1
Pd2 0.0000 0.5000 0.0000 1
Pd3 0.5000 0.0000 0.0000 1
Pd4 0.5000 0.5000 0.5000 1
```

Principal peaks in the range 2θ from 15° to 90°, in order of rising 2θ:
2θ = 29.38°, intensity 100; 2θ = 30.50°, intensity 45; 2θ = 42.03°, intensity 52; 2θ = 42.86°, intensity 98; 2θ = 52.81°, intensity 38; 2θ = 60.94°, intensity 17; 2θ = 69.08°, intensity 17; 2θ = 77.37°, intensity 33